Simulated powder diffractogram of Sr5Si2Ge for Cu Ka, from a structure optimized by DFT (GGA-PBE).

```
data_Sr5Si2Ge
_space_group_name_H-M_alt 'I 4/m c m'
_space_group_IT_number 140
_space_group_name_Hall '-I 4 2c'
_cell_length_a 8.0907
_cell_length_b 8.0907
_cell_length_c 15.9582
_cell_angle_alpha 90.00
_cell_angle_beta 90.00
_cell_angle_gamma 90.00
loop_
_atom_site_label
_atom_site_fract_x
_atom_site_fract_y
_atom_site_fract_z
Sr1 0.0000 0.0000 0.0000
Sr2 0.1793 0.3207 0.1403
Si1 0.1079 0.3921 0.5000
Ge1 0.0000 0.0000 0.2500
```

Largest 10 diffraction maxima, by intensity, 10 to 90 degrees two-theta:
2θ/deg	I/Imax	(hkl)
29.86	100	2 1 3
31.49	99	2 0 4
35.07	56	3 1 0
27.25	35	1 1 4
25.24	35	2 1 1
31.27	32	2 2 0
53.24	32	3 3 4
49.50	30	4 1 3
46.63	22	4 1 1
62.44	20	4 1 7


Simulated powder diffractogram of Sr2Zn4Si3Ge for Cu Ka, from a structure optimized by DFT (GGA-PBE).

```
data_Sr2Zn4Si3Ge
_space_group_name_H-M_alt 'P -4 m 2'
_space_group_IT_number 115
_cell_length_a 4.3259
_cell_length_b 4.3259
_cell_length_c 10.6021
_cell_angle_alpha 90.00
_cell_angle_beta 90.00
_cell_angle_gamma 90.00
loop_
_space_group_symop_operation_xyz
'x,y,z'
'y,-x,-z'
'-x,-y,z'
'-y,x,-z'
'-x,y,z'
'-y,-x,-z'
'x,-y,z'
'y,x,-z'
loop_
_atom_site_label
_atom_site_fract_x
_atom_site_fract_y
_atom_site_fract_z
Sr1 0.0000 0.5000 0.2478
Zn1 0.0000 0.0000 0.0000
Zn2 0.0000 0.5000 0.6356
Zn3 0.5000 0.5000 0.0000
Si1 0.0000 0.5000 0.8679
Si2 0.5000 0.5000 0.5000
Ge1 0.0000 0.0000 0.5000
```

Largest 10 diffraction maxima, by intensity, 10 to 90 degrees two-theta:
2θ/deg	I/Imax	(hkl)
33.83	100	1 1 2
41.76	50	2 0 0
32.72	44	1 0 3
71.18	28	0 0 8
60.53	27	2 2 0
47.77	23	1 0 5
54.04	21	2 1 3
65.29	18	2 1 5
45.27	15	1 1 4
86.04	11	2 0 8


Simulated powder diffractogram of Ta4SiGe for Cu Ka, from a structure optimized by DFT (GGA-PBE).

```
data_Ta4SiGe
_space_group_name_H-M_alt 'P 4/m c c'
_space_group_IT_number 124
_space_group_name_Hall '-P 4 2c'
_cell_length_a 6.2242
_cell_length_b 6.2242
_cell_length_c 5.1599
_cell_angle_alpha 90.00
_cell_angle_beta 90.00
_cell_angle_gamma 90.00
loop_
_atom_site_label
_atom_site_fract_x
_atom_site_fract_y
_atom_site_fract_z
Ta1 0.1561 0.3317 0.0000
Si1 0.0000 0.0000 0.2500
Ge1 0.5000 0.5000 0.2500
```

Largest 10 diffraction maxima, by intensity, 10 to 90 degrees two-theta:
2θ/deg	I/Imax	(hkl)
36.68	100	2 1 1
63.59	20	2 1 3
46.12	20	3 1 0
34.77	18	0 0 2
45.68	17	2 0 2
64.29	16	4 1 1
74.39	14	3 3 2
40.53	12	1 1 2
86.24	10	5 2 1
28.68	8	2 0 0


Simulated powder diffractogram of Tb3Si2Ge2 for Cu Ka, from a structure optimized by DFT (GGA-PBE).

```
data_Tb3Si2Ge2
_space_group_name_H-M_alt 'I m m m'
_space_group_IT_number 71
_space_group_name_Hall '-I 2 2'
_cell_length_a 3.9615
_cell_length_b 4.2491
_cell_length_c 17.8359
_cell_angle_alpha 90.00
_cell_angle_beta 90.00
_cell_angle_gamma 90.00
loop_
_atom_site_label
_atom_site_fract_x
_atom_site_fract_y
_atom_site_fract_z
Tb1 0.0000 0.0000 0.0000
Tb2 0.0000 0.5000 0.3194
Si1 0.0000 0.0000 0.4352
Ge1 0.0000 0.5000 0.1531
```

Largest 10 diffraction maxima, by intensity, 10 to 90 degrees two-theta:
2θ/deg	I/Imax	(hkl)
32.49	100	1 1 2
32.78	44	0 1 5
30.06	40	0 0 6
37.00	36	1 1 4
27.05	34	1 0 3
42.55	27	0 2 0
45.81	22	2 0 0
51.74	19	1 1 8
43.62	18	1 1 6
30.86	18	1 1 0


Simulated powder diffractogram of SiTcGe for Cu Ka, from a structure optimized by DFT (GGA-PBE).

```
data_SiTcGe
_space_group_name_H-M_alt 'P m m n'
_space_group_IT_number 59
_cell_length_a 3.2344
_cell_length_b 3.7478
_cell_length_c 7.3617
_cell_angle_alpha 90.00
_cell_angle_beta 90.00
_cell_angle_gamma 90.00
loop_
_space_group_symop_operation_xyz
'x,y,z'
'-x,-y,-z'
'-x+1/2,-y+1/2,z'
'x+1/2,y+1/2,-z'
'x+1/2,-y,-z'
'-x+1/2,y,z'
'-x,y+1/2,-z'
'x,-y+1/2,z'
loop_
_atom_site_label
_atom_site_fract_x
_atom_site_fract_y
_atom_site_fract_z
Si1 0.2500 0.2500 0.0187
Tc1 0.2500 0.7500 0.2377
Ge1 0.2500 0.7500 0.6148
```

Largest 10 diffraction maxima, by intensity, 10 to 90 degrees two-theta:
2θ/deg	I/Imax	(hkl)
36.70	100	1 1 0
44.11	75	0 1 3
44.44	69	1 1 2
46.45	50	1 0 3
38.76	45	1 1 1
48.59	40	0 2 0
37.00	40	1 0 2
34.14	37	0 1 2
74.72	30	2 1 3
69.48	29	1 2 3


Simulated powder diffractogram of Th2Si2Ge for Cu Ka, from a structure optimized by DFT (GGA-PBE).

```
data_Th2Si2Ge
_space_group_name_H-M_alt 'A m m 2'
_space_group_IT_number 38
_cell_length_a 4.1748
_cell_length_b 3.9806
_cell_length_c 13.5964
_cell_angle_alpha 90.00
_cell_angle_beta 90.00
_cell_angle_gamma 90.00
loop_
_space_group_symop_operation_xyz
'x,y,z'
'-x,-y,z'
'-x,y,z'
'x,-y,z'
'x,y+1/2,z+1/2'
'-x,-y+1/2,z+1/2'
'-x,y+1/2,z+1/2'
'x,-y+1/2,z+1/2'
loop_
_atom_site_label
_atom_site_fract_x
_atom_site_fract_y
_atom_site_fract_z
Th1 0.0000 0.0000 0.0000
Th2 0.0000 0.0000 0.2494
Si1 0.5000 0.0000 0.6315
Si2 0.5000 0.0000 0.8173
Ge1 0.5000 0.0000 0.4302
```

Largest 10 diffraction maxima, by intensity, 10 to 90 degrees two-theta:
2θ/deg	I/Imax	(hkl)
31.75	100	1 1 1
34.01	69	1 0 4
36.97	65	1 1 3
23.28	47	0 1 1
26.22	44	0 0 4
21.28	43	1 0 0
40.16	36	0 1 5
58.07	31	1 2 4
29.87	25	0 1 3
43.35	25	2 0 0


Simulated powder diffractogram of Th4SiGe for Cu Ka, from a structure optimized by DFT (GGA-PBE).

```
data_Th4SiGe
_space_group_name_H-M_alt 'P 4/m c c'
_space_group_IT_number 124
_space_group_name_Hall '-P 4 2c'
_cell_length_a 7.3902
_cell_length_b 7.3902
_cell_length_c 6.0222
_cell_angle_alpha 90.00
_cell_angle_beta 90.00
_cell_angle_gamma 90.00
loop_
_atom_site_label
_atom_site_fract_x
_atom_site_fract_y
_atom_site_fract_z
Th1 0.1619 0.3327 0.0000
Si1 0.0000 0.0000 0.2500
Ge1 0.5000 0.5000 0.2500
```

Largest 10 diffraction maxima, by intensity, 10 to 90 degrees two-theta:
2θ/deg	I/Imax	(hkl)
30.86	100	2 1 1
53.37	43	2 1 3
38.54	36	3 1 0
70.39	20	5 2 1
29.67	19	0 0 2
61.50	16	3 3 2
34.36	13	1 1 2
85.73	13	5 2 3
24.08	10	2 0 0
49.35	10	4 0 0


Simulated powder diffractogram of Th4SiGe for Cu Ka, from a structure optimized by DFT (GGA-PBE).

```
data_Th4SiGe
_space_group_name_H-M_alt 'I 4 2 2'
_space_group_IT_number 97
_space_group_name_Hall 'I 4 2'
_cell_length_a 7.3722
_cell_length_b 7.3722
_cell_length_c 6.0654
_cell_angle_alpha 90.00
_cell_angle_beta 90.00
_cell_angle_gamma 90.00
loop_
_atom_site_label
_atom_site_fract_x
_atom_site_fract_y
_atom_site_fract_z
Th1 0.1650 0.3350 0.2500
Si1 0.0000 0.0000 0.5000
Ge1 0.0000 0.0000 0.0000
```

Largest 10 diffraction maxima, by intensity, 10 to 90 degrees two-theta:
2θ/deg	I/Imax	(hkl)
30.87	100	2 1 1
53.14	23	2 1 3
53.42	21	4 1 1
29.45	19	0 0 2
38.62	19	3 1 0
38.44	18	2 0 2
61.50	16	3 3 2
70.52	11	5 2 1
24.14	10	2 0 0
85.23	10	6 0 2


Simulated powder diffractogram of Ti2Si2Ge for Cu Ka, from a structure optimized by DFT (GGA-PBE).

```
data_Ti2Si2Ge
_space_group_name_H-M_alt 'P 4/m b m'
_space_group_IT_number 127
_space_group_name_Hall '-P 4 2ab'
_cell_length_a 6.5989
_cell_length_b 6.5989
_cell_length_c 3.5538
_cell_angle_alpha 90.00
_cell_angle_beta 90.00
_cell_angle_gamma 90.00
loop_
_atom_site_label
_atom_site_fract_x
_atom_site_fract_y
_atom_site_fract_z
Ti1 0.1742 0.3258 0.0000
Si1 0.1256 0.6256 0.5000
Ge1 0.0000 0.0000 0.5000
```

Largest 10 diffraction maxima, by intensity, 10 to 90 degrees two-theta:
2θ/deg	I/Imax	(hkl)
39.70	100	2 1 1
37.18	87	2 0 1
43.36	71	3 1 0
31.65	36	1 1 1
69.48	33	3 1 2
38.59	27	2 2 0
51.43	25	0 0 2
78.69	19	5 1 1
65.51	17	3 3 1
50.73	16	3 1 1


Simulated powder diffractogram of Ti3SiGe2 for Cu Ka, from a structure optimized by DFT (GGA-PBE).

```
data_Ti3SiGe2
_space_group_name_H-M_alt 'P n m a'
_space_group_IT_number 62
_cell_length_a 10.5521
_cell_length_b 3.7138
_cell_length_c 9.8494
_cell_angle_alpha 90.00
_cell_angle_beta 90.00
_cell_angle_gamma 90.00
loop_
_space_group_symop_operation_xyz
'x,y,z'
'-x,-y,-z'
'-x+1/2,-y,z+1/2'
'x+1/2,y,-z+1/2'
'x+1/2,-y+1/2,-z+1/2'
'-x+1/2,y+1/2,z+1/2'
'-x,y+1/2,-z'
'x,-y+1/2,z'
loop_
_atom_site_label
_atom_site_fract_x
_atom_site_fract_y
_atom_site_fract_z
Ti1 0.0444 0.2500 0.1164
Ti2 0.1210 0.7500 0.5593
Ti3 0.2336 0.2500 0.7826
Si1 0.1230 0.2500 0.3729
Ge1 0.0048 0.2500 0.7051
Ge2 0.1850 0.7500 0.0075
```

Largest 10 diffraction maxima, by intensity, 10 to 90 degrees two-theta:
2θ/deg	I/Imax	(hkl)
36.53	100	0 1 3
39.76	71	3 1 2
43.05	69	4 1 1
34.70	68	2 1 2
49.06	62	0 2 0
53.30	54	3 0 5
37.53	49	1 0 4
38.72	48	4 0 2
44.99	42	1 1 4
24.73	35	2 0 2


Simulated powder diffractogram of Tm7Si2Ge2 for Cu Ka, from a structure optimized by DFT (GGA-PBE).

```
data_Tm7Si2Ge2
_space_group_name_H-M_alt 'C m m m'
_space_group_IT_number 65
_space_group_name_Hall '-C 2 2'
_cell_length_a 8.3107
_cell_length_b 10.3599
_cell_length_c 6.7192
_cell_angle_alpha 90.00
_cell_angle_beta 90.00
_cell_angle_gamma 90.00
loop_
_atom_site_label
_atom_site_fract_x
_atom_site_fract_y
_atom_site_fract_z
Tm1 0.0000 0.0000 0.0000
Tm2 0.0000 0.5000 0.2548
Tm3 0.2500 0.2500 0.2687
Si1 0.0000 0.2764 0.0000
Ge1 0.1958 0.0000 0.5000
```

Largest 10 diffraction maxima, by intensity, 10 to 90 degrees two-theta:
2θ/deg	I/Imax	(hkl)
27.52	100	2 2 0
38.60	80	2 2 2
34.63	52	0 4 0
29.96	48	1 1 2
38.94	27	1 3 2
31.75	23	0 2 2
43.56	23	4 0 0
25.20	21	2 0 1
56.81	21	4 4 0
26.53	20	0 0 2


Simulated powder diffractogram of U2Si3Ge2 for Cu Ka, from a structure optimized by DFT (GGA-PBE).

```
data_U2Si3Ge2
_space_group_name_H-M_alt 'I 21 3'
_space_group_IT_number 199
_space_group_name_Hall 'I 2b 2c 3'
_cell_length_a 8.1909
_cell_length_b 8.1909
_cell_length_c 8.1909
_cell_angle_alpha 90.00
_cell_angle_beta 90.00
_cell_angle_gamma 90.00
loop_
_atom_site_label
_atom_site_fract_x
_atom_site_fract_y
_atom_site_fract_z
U1 0.2443 0.2443 0.2443
Si1 0.0000 0.2500 0.9974
Ge1 0.0598 0.4402 0.5598
```

Largest 10 diffraction maxima, by intensity, 10 to 90 degrees two-theta:
2θ/deg	I/Imax	(hkl)
30.88	100	2 2 0
21.70	44	2 0 0
49.78	37	4 2 0
38.06	35	2 2 2
54.91	30	4 2 2
44.23	22	4 0 0
68.76	21	6 0 0
77.26	21	6 2 2
89.55	16	6 4 2
64.34	14	4 4 0


What is the formula in the eighth record? Th4SiGe